For LaVClO4, DFT lattice parameters and positions (GGA+U) gives the theoretical powder XRD pattern in this record (Cu Kα, 1.54184 Å).
Kinematic intensities with the Lorentz-polarization factor, no thermal factor.

a = 11.647 Å, b = 6.943 Å, c = 7.102 Å
α = 90.00°, β = 101.28°, γ = 90.00°
Space group C2/m (No. 12)
Inequivalent atoms, fractional coordinates:
La 0.209 0.000 0.341 x4
V 0.144 0.000 0.774 x4
Cl 0.023 0.500 0.372 x4
O 0.007 0.000 0.251 x4
O 0.190 0.193 0.645 x8
O 0.212 0.000 0.011 x4

Most intense lines, 2θ from 10° to 80°, low angle first:
two_theta, d (Å), intensity, hkl
12.7, 6.965, 71, 0 0 1
14.9, 5.933, 34, 1 1 0
15.5, 5.711, 67, 2 0 0
18.6, 4.762, 33, 1 1 -1
25.6, 3.474, 100, 0 2 0
26.7, 3.338, 87, 3 1 0
28.4, 3.146, 66, 1 1 -2
31.6, 2.828, 53, 3 1 1